(1)
Diffraction record for KHgPt. The powder XRD pattern is simulated, not measured: it uses a cell relaxed with PBE and CuKα.
Neutral-atom scattering factors, no anomalous dispersion.

Structural model:
a = 5.7686 Å, b = 6.2509 Å, c = 7.8850 Å
α = 90.00°, β = 90.00°, γ = 90.00°
Space group Imma (No. 74)
Inequivalent atoms, fractional coordinates:
K: 0.0000 0.2500 0.1157 [4 per cell]
Hg: 0.0000 0.0000 0.5000 [4 per cell]
Pt: 0.2500 0.2500 0.7500 [4 per cell]

The 10 most intense peaks (2θ = 10–90°), in order of rising 2θ:
- hkl 0 1 1, 2θ 18.1, intensity 100
- hkl 1 0 1, 2θ 19.1, intensity 93
- hkl 1 2 1, 2θ 34.6, intensity 83
- hkl 2 1 1, 2θ 36.1, intensity 66
- hkl 0 2 2, 2θ 36.7, intensity 99
- hkl 0 1 3, 2θ 37.1, intensity 32
- hkl 1 0 3, 2θ 37.6, intensity 31
- hkl 2 0 2, 2θ 38.7, intensity 90
- hkl 2 2 0, 2θ 42.7, intensity 55
- hkl 4 0 0, 2θ 64.6, intensity 59

=====

(2)
Diffraction record for K3Hg3Pt2. The powder XRD pattern is simulated, not measured: it uses a cell relaxed with PBE and CuKα.
Neutral-atom scattering factors, no anomalous dispersion.

Structural model:
a = 16.9739 Å, b = 4.5923 Å, c = 6.2985 Å
α = 90.00°, β = 90.08°, γ = 90.00°
Space group C2/m (No. 12)
Inequivalent atoms, fractional coordinates:
K: 0.0000 0.0000 0.0000 [2 per cell]
K: 0.1656 0.0000 0.4045 [4 per cell]
Hg: 0.0000 0.5000 0.5000 [2 per cell]
Hg: 0.1380 0.5000 0.8202 [4 per cell]
Pt: 0.2193 0.0000 0.9292 [4 per cell]

The 10 most intense peaks (2θ = 10–90°), in order of rising 2θ:
- hkl 2 0 0, 2θ 10.4, intensity 21
- hkl 0 0 1, 2θ 14.1, intensity 19
- hkl 2 0 -1, 2θ 17.5, intensity 100
- hkl 3 1 -1, 2θ 28.8, intensity 31
- hkl 4 0 -2, 2θ 35.5, intensity 27
- hkl 5 1 1, 2θ 35.9, intensity 51
- hkl 3 1 2, 2θ 38.1, intensity 37
- hkl 0 2 0, 2θ 39.2, intensity 23
- hkl 7 1 0, 2θ 42.1, intensity 24
- hkl 2 2 -1, 2θ 43.3, intensity 22

=====

(3)
Diffraction record for K4Hg3Pt2. The powder XRD pattern is simulated, not measured: it uses a cell relaxed with PBE and CuKα.
Neutral-atom scattering factors, no anomalous dispersion.

Structural model:
a = 17.2386 Å, b = 4.4757 Å, c = 7.8552 Å
α = 90.00°, β = 105.52°, γ = 90.00°
Space group C2/m (No. 12)
Inequivalent atoms, fractional coordinates:
K: 0.0761 0.0000 0.3693 [4 per cell]
K: 0.2251 0.5000 0.1755 [4 per cell]
Hg: 0.0000 0.5000 0.0000 [2 per cell]
Hg: 0.1113 0.5000 0.7321 [4 per cell]
Pt: 0.0866 0.0000 0.9340 [4 per cell]

The 10 most intense peaks (2θ = 10–90°), in order of rising 2θ:
- hkl 2 0 0, 2θ 10.7, intensity 87
- hkl 0 0 1, 2θ 11.7, intensity 100
- hkl 2 0 1, 2θ 17.8, intensity 90
- hkl 3 1 1, 2θ 30.0, intensity 30
- hkl 3 1 -2, 2θ 31.9, intensity 56
- hkl 1 1 2, 2θ 32.5, intensity 31
- hkl 5 1 -1, 2θ 33.1, intensity 43
- hkl 5 1 -2, 2θ 36.8, intensity 51
- hkl 0 2 0, 2θ 40.3, intensity 29
- hkl 3 1 -3, 2θ 40.5, intensity 30

=====

(4)
Diffraction record for KRb2Hg6Pt. The powder XRD pattern is simulated, not measured: it uses a cell relaxed with PBE and CuKα.
Neutral-atom scattering factors, no anomalous dispersion.

Structural model:
a = 7.5847 Å, b = 7.5847 Å, c = 6.8332 Å
α = 90.00°, β = 90.00°, γ = 120.00°
Space group P-3m1 (No. 164)
Inequivalent atoms, fractional coordinates:
K: 0.0000 0.0000 0.0000 [1 per cell]
Rb: 0.3333 0.6667 0.8340 [2 per cell]
Hg: 0.1959 0.3917 0.3330 [6 per cell]
Pt: 0.0000 0.0000 0.5000 [1 per cell]

The 10 most intense peaks (2θ = 10–90°), in order of rising 2θ:
- hkl 0 0 1, 2θ 13.0, intensity 61
- hkl 1 0 1, 2θ 18.7, intensity 46
- hkl 1 0 2, 2θ 29.5, intensity 53
- hkl 0 2 1, 2θ 30.2, intensity 100
- hkl 2 1 0, 2θ 36.2, intensity 44
- hkl 2 0 2, 2θ 38.0, intensity 47
- hkl 1 2 1, 2θ 38.6, intensity 33
- hkl 3 0 1, 2θ 43.4, intensity 22
- hkl 2 2 0, 2θ 48.0, intensity 23
- hkl 3 2 2, 2θ 68.0, intensity 24

=====

(5)
Diffraction record for K8Rb4Hg. The powder XRD pattern is simulated, not measured: it uses a cell relaxed with PBE and CuKα.
Neutral-atom scattering factors, no anomalous dispersion.

Structural model:
a = 6.8763 Å, b = 6.8821 Å, c = 20.1628 Å
α = 90.00°, β = 90.00°, γ = 90.00°
Space group Pmm2 (No. 25)
Inequivalent atoms, fractional coordinates:
K: 0.0000 0.0000 0.0000 [1 per cell]
K: 0.0000 0.0000 0.3189 [1 per cell]
K: 0.0000 0.5000 0.4790 [1 per cell]
K: 0.0000 0.5000 0.8124 [1 per cell]
K: 0.5000 0.0000 0.1593 [1 per cell]
K: 0.5000 0.0000 0.8125 [1 per cell]
K: 0.5000 0.5000 0.3195 [1 per cell]
K: 0.5000 0.5000 0.6524 [1 per cell]
Rb: 0.0000 0.0000 0.6451 [1 per cell]
Rb: 0.0000 0.5000 0.1585 [1 per cell]
Rb: 0.5000 0.0000 0.4796 [1 per cell]
Rb: 0.5000 0.5000 0.9740 [1 per cell]
Hg: 0.0000 0.0000 0.8282 [1 per cell]

The 10 most intense peaks (2θ = 10–90°), in order of rising 2θ:
- hkl 0 1 1, 2θ 13.6, intensity 49
- hkl 1 0 2, 2θ 15.6, intensity 33
- hkl 1 1 1, 2θ 18.8, intensity 47
- hkl 1 0 4, 2θ 21.9, intensity 29
- hkl 1 1 3, 2θ 22.6, intensity 87
- hkl 2 0 0, 2θ 25.9, intensity 100
- hkl 0 0 6, 2θ 26.5, intensity 43
- hkl 2 2 0, 2θ 37.0, intensity 38
- hkl 2 0 6, 2θ 37.4, intensity 67
- hkl 2 2 6, 2θ 46.1, intensity 36

=====

(6)
Diffraction record for K8Rb2Hg3. The powder XRD pattern is simulated, not measured: it uses a cell relaxed with PBE and CuKα.
Neutral-atom scattering factors, no anomalous dispersion.

Structural model:
a = 11.9510 Å, b = 5.9034 Å, c = 13.1593 Å
α = 90.00°, β = 116.63°, γ = 90.00°
Space group P2/m (No. 10)
Inequivalent atoms, fractional coordinates:
K: 0.0872 0.0000 0.1760 [2 per cell]
K: 0.1600 0.5000 0.8192 [2 per cell]
K: 0.3410 0.5000 0.1825 [2 per cell]
K: 0.4087 0.0000 0.8164 [2 per cell]
Rb: 0.2495 0.5000 0.5018 [2 per cell]
Hg: 0.2565 0.0000 0.0005 [2 per cell]
Hg: 0.5000 0.5000 0.0000 [1 per cell]

The 10 most intense peaks (2θ = 10–90°), in order of rising 2θ:
- hkl 0 0 2, 2θ 15.1, intensity 54
- hkl 2 0 -2, 2θ 16.6, intensity 40
- hkl 0 1 1, 2θ 16.8, intensity 41
- hkl 2 1 1, 2θ 26.0, intensity 100
- hkl 2 1 -3, 2θ 26.1, intensity 100
- hkl 4 0 -2, 2θ 29.9, intensity 44
- hkl 0 2 0, 2θ 30.3, intensity 43
- hkl 2 1 2, 2θ 31.1, intensity 36
- hkl 2 1 -4, 2θ 31.3, intensity 56
- hkl 4 2 -2, 2θ 43.1, intensity 39

=====

(7)
Diffraction record for K3Rb3Hg4. The powder XRD pattern is simulated, not measured: it uses a cell relaxed with PBE and CuKα.
Neutral-atom scattering factors, no anomalous dispersion.

Structural model:
a = 5.2081 Å, b = 13.3888 Å, c = 13.4620 Å
α = 90.00°, β = 90.00°, γ = 90.00°
Space group Amm2 (No. 38)
Inequivalent atoms, fractional coordinates:
K: 0.0000 0.0000 0.0000 [2 per cell]
K: 0.0000 0.1671 0.6701 [4 per cell]
Rb: 0.0000 0.0000 0.3383 [2 per cell]
Rb: 0.5000 0.2490 0.9193 [4 per cell]
Hg: 0.5000 0.0000 0.5589 [2 per cell]
Hg: 0.5000 0.0000 0.7847 [2 per cell]
Hg: 0.5000 0.1151 0.1660 [4 per cell]

The 10 most intense peaks (2θ = 10–90°), in order of rising 2θ:
- hkl 0 2 0, 2θ 13.2, intensity 30
- hkl 1 0 0, 2θ 17.0, intensity 46
- hkl 0 3 1, 2θ 20.9, intensity 26
- hkl 1 2 2, 2θ 25.4, intensity 20
- hkl 1 1 3, 2θ 27.1, intensity 100
- hkl 0 4 2, 2θ 29.8, intensity 32
- hkl 2 0 0, 2θ 34.5, intensity 39
- hkl 1 5 1, 2θ 38.4, intensity 20
- hkl 2 4 2, 2θ 46.1, intensity 19
- hkl 1 4 6, 2θ 52.1, intensity 21

=====

(8)
Diffraction record for KRb2Hg9. The powder XRD pattern is simulated, not measured: it uses a cell relaxed with PBE and CuKα.
Neutral-atom scattering factors, no anomalous dispersion.

Structural model:
a = 6.4539 Å, b = 6.4539 Å, c = 32.6224 Å
α = 90.00°, β = 90.00°, γ = 120.00°
Space group R-3m (No. 166, hexagonal axes)
Inequivalent atoms, fractional coordinates:
K: 0.0000 0.0000 0.0000 [3 per cell]
Rb: 0.0000 0.0000 0.1420 [6 per cell]
Hg: 0.0000 0.0000 0.3366 [6 per cell]
Hg: 0.0000 0.0000 0.5000 [3 per cell]
Hg: 0.0081 0.5040 0.9168 [18 per cell]

The 10 most intense peaks (2θ = 10–90°), in order of rising 2θ:
- hkl 1 0 1, 2θ 16.1, intensity 66
- hkl 0 2 1, 2θ 32.1, intensity 24
- hkl 1 1 6, 2θ 32.3, intensity 100
- hkl 0 0 12, 2θ 32.9, intensity 38
- hkl 2 0 5, 2θ 34.9, intensity 61
- hkl 0 2 7, 2θ 37.5, intensity 42
- hkl 3 0 6, 2θ 51.9, intensity 27
- hkl 2 2 0, 2θ 57.1, intensity 31
- hkl 2 0 17, 2θ 58.4, intensity 25
- hkl 2 2 12, 2θ 67.5, intensity 30

=====

(9)
Diffraction record for K8RbHg3. The powder XRD pattern is simulated, not measured: it uses a cell relaxed with PBE and CuKα.
Neutral-atom scattering factors, no anomalous dispersion.

Structural model:
a = 11.6422 Å, b = 11.6422 Å, c = 16.5998 Å
α = 90.00°, β = 90.00°, γ = 120.00°
Space group R-3m (No. 166, hexagonal axes)
Inequivalent atoms, fractional coordinates:
K: 0.0000 0.0000 0.2392 [6 per cell]
K: 0.0433 0.5216 0.2566 [18 per cell]
Rb: 0.0000 0.0000 0.0000 [3 per cell]
Hg: 0.0000 0.5000 0.5000 [9 per cell]

The 10 most intense peaks (2θ = 10–90°), in order of rising 2θ:
- hkl 1 0 1, 2θ 10.3, intensity 59
- hkl 0 0 3, 2θ 16.0, intensity 30
- hkl 0 2 1, 2θ 18.4, intensity 71
- hkl 2 0 2, 2θ 20.6, intensity 27
- hkl 2 1 1, 2θ 24.0, intensity 43
- hkl 0 2 4, 2θ 27.8, intensity 100
- hkl 2 2 0, 2θ 30.7, intensity 73
- hkl 2 2 3, 2θ 34.8, intensity 29
- hkl 4 0 4, 2θ 41.9, intensity 30
- hkl 2 4 4, 2θ 52.9, intensity 27

=====

(10)
Diffraction record for K2Rb2Hg3. The powder XRD pattern is simulated, not measured: it uses a cell relaxed with PBE and CuKα.
Neutral-atom scattering factors, no anomalous dispersion.

Structural model:
a = 16.4110 Å, b = 5.1129 Å, c = 8.8075 Å
α = 90.00°, β = 118.26°, γ = 90.00°
Space group C2/m (No. 12)
Inequivalent atoms, fractional coordinates:
K: 0.1697 0.0000 0.2850 [4 per cell]
Rb: 0.1143 0.0000 0.7788 [4 per cell]
Hg: 0.0000 0.5000 0.0000 [2 per cell]
Hg: 0.0714 0.5000 0.4259 [4 per cell]

The 10 most intense peaks (2θ = 10–90°), in order of rising 2θ:
- hkl 2 0 0, 2θ 12.2, intensity 100
- hkl 1 1 0, 2θ 18.4, intensity 66
- hkl 3 1 -1, 2θ 24.0, intensity 48
- hkl 3 1 0, 2θ 25.4, intensity 47
- hkl 1 1 -2, 2θ 27.1, intensity 47
- hkl 2 0 2, 2θ 30.9, intensity 33
- hkl 4 0 -3, 2θ 31.6, intensity 36
- hkl 1 1 2, 2θ 31.8, intensity 53
- hkl 5 1 -1, 2θ 32.6, intensity 40
- hkl 0 2 0, 2θ 35.1, intensity 34

=====

(11)
Diffraction record for K2Rb5Hg. The powder XRD pattern is simulated, not measured: it uses a cell relaxed with PBE and CuKα.
Neutral-atom scattering factors, no anomalous dispersion.

Structural model:
a = 9.2748 Å, b = 9.2902 Å, c = 9.3018 Å
α = 104.47°, β = 104.81°, γ = 119.57°
Space group P1 (No. 1)
Inequivalent atoms, fractional coordinates:
K: 0.0000 0.0000 0.0000 [1 per cell]
K: 0.4996 0.4995 0.0004 [1 per cell]
Rb: 0.0377 0.5380 0.0763 [1 per cell]
Rb: 0.0385 0.9618 0.4999 [1 per cell]
Rb: 0.4617 0.5383 0.5005 [1 per cell]
Rb: 0.4618 0.9615 0.9239 [1 per cell]
Rb: 0.6517 0.1511 0.5001 [1 per cell]
Hg: 0.0550 0.5554 0.5001 [1 per cell]

The 10 most intense peaks (2θ = 10–90°), in order of rising 2θ:
- hkl 1 -1 0, 2θ 11.0, intensity 45
- hkl 1 0 -1, 2θ 12.3, intensity 37
- hkl 2 -1 0, 2θ 19.9, intensity 26
- hkl 0 2 -1, 2θ 22.0, intensity 18
- hkl 0 0 2, 2θ 22.1, intensity 85
- hkl 0 2 0, 2θ 24.7, intensity 100
- hkl 2 -3 0, 2θ 29.9, intensity 17
- hkl -2 2 2, 2θ 31.4, intensity 27
- hkl 3 0 -1, 2θ 33.8, intensity 23
- hkl 0 2 -4, 2θ 40.4, intensity 20

=====

(12)
Diffraction record for K6RbHg3. The powder XRD pattern is simulated, not measured: it uses a cell relaxed with PBE and CuKα.
Neutral-atom scattering factors, no anomalous dispersion.

Structural model:
a = 11.0967 Å, b = 5.9970 Å, c = 15.2330 Å
α = 90.00°, β = 91.04°, γ = 90.00°
Space group P2_1/m (No. 11)
Inequivalent atoms, fractional coordinates:
K: 0.0708 0.2500 0.0904 [2 per cell]
K: 0.1592 0.7500 0.5133 [2 per cell]
K: 0.3069 0.7500 0.2315 [2 per cell]
K: 0.3550 0.7500 0.7809 [2 per cell]
K: 0.3941 0.2500 0.9637 [2 per cell]
K: 0.4163 0.2500 0.4231 [2 per cell]
Rb: 0.0815 0.2500 0.7332 [2 per cell]
Hg: 0.1130 0.2500 0.3372 [2 per cell]
Hg: 0.2335 0.7500 0.0011 [2 per cell]
Hg: 0.4019 0.2500 0.6557 [2 per cell]

The 10 most intense peaks (2θ = 10–90°), in order of rising 2θ:
- hkl 2 0 1, 2θ 17.1, intensity 56
- hkl 0 0 3, 2θ 17.5, intensity 69
- hkl 1 1 -1, 2θ 17.7, intensity 100
- hkl 2 0 -2, 2θ 19.6, intensity 35
- hkl 1 1 2, 2θ 20.6, intensity 65
- hkl 3 1 0, 2θ 28.4, intensity 81
- hkl 1 1 -4, 2θ 28.8, intensity 72
- hkl 0 2 0, 2θ 29.8, intensity 54
- hkl 3 1 -3, 2θ 33.3, intensity 37
- hkl 1 1 5, 2θ 34.1, intensity 38